Entry 1:
The following is a calculated X-ray powder pattern of CaYI4. It was derived from a DFT-relaxed cell (PBE, Alexandria), using λ = 1.5418 Å (Cu Kα).
Intensities are scaled so that the largest is 100.

Structure:
a = 7.6643 Å, b = 4.2670 Å, c = 8.2281 Å
α = 90.00°, β = 107.14°, γ = 90.00°
Element x y z (fractional)
Ca 0.0000 0.0000 0.0000
Y 0.5000 0.5000 0.0000
I 0.2507 0.5000 0.2360
I 0.2568 0.0000 0.7627
I 0.7432 0.0000 0.2373
I 0.7493 0.5000 0.7640

The 8 most intense peaks (10 to 90 degrees two-theta), low angle first:
- hkl 0 0 1, 2θ 11.3, I 34.6
- hkl 0 0 2, 2θ 22.6, I 28.2
- hkl 2 0 0, 2θ 24.3, I 24.4
- hkl 1 1 -1, 2θ 25.1, I 44.9
- hkl 2 0 -2, 2θ 28.0, I 50.8
- hkl 1 1 1, 2θ 28.2, I 100.0
- hkl 1 1 -3, 2θ 39.1, I 39.6
- hkl 3 1 -1, 2θ 41.2, I 35.4

=====

Entry 2:
The following is a calculated X-ray powder pattern of Ba3Li2Tl2. It was derived from a DFT-relaxed cell (PBE, Alexandria), using λ = 1.5418 Å (Cu Kα).
Intensities are scaled so that the largest is 100.

Structure:
a = 4.4705 Å, b = 5.3836 Å, c = 22.2644 Å
α = 90.00°, β = 90.00°, γ = 90.00°
Element x y z (fractional)
Ba 0.0000 0.0000 0.0000
Ba 0.0000 0.5000 0.1897
Ba 0.0000 0.5000 0.8103
Ba 0.5000 0.0000 0.3103
Ba 0.5000 0.0000 0.6897
Ba 0.5000 0.5000 0.5000
Li 0.0000 0.0000 0.4310
Li 0.0000 0.0000 0.5690
Li 0.5000 0.5000 0.0690
Li 0.5000 0.5000 0.9310
Tl 0.0000 0.5000 0.3670
Tl 0.0000 0.5000 0.6330
Tl 0.5000 0.0000 0.1330
Tl 0.5000 0.0000 0.8670

The 8 most intense peaks (10 to 90 degrees two-theta), low angle first:
- hkl 0 1 1, 2θ 16.9, I 62.2
- hkl 1 1 0, 2θ 25.9, I 100.0
- hkl 1 1 2, 2θ 27.1, I 66.7
- hkl 1 0 5, 2θ 28.3, I 76.2
- hkl 1 1 4, 2θ 30.6, I 91.5
- hkl 0 1 7, 2θ 32.7, I 59.0
- hkl 0 2 0, 2θ 33.3, I 46.2
- hkl 1 2 5, 2θ 44.2, I 45.1

=====

Entry 3:
The following is a calculated X-ray powder pattern of LaYB12. It was derived from a DFT-relaxed cell (PBE, Alexandria), using λ = 1.5418 Å (Cu Kα).
Intensities are scaled so that the largest is 100.

Structure:
a = 4.1290 Å, b = 4.1290 Å, c = 8.2555 Å
α = 90.00°, β = 90.00°, γ = 90.00°
Element x y z (fractional)
La 0.0000 0.0000 0.0000
Y 0.0000 0.0000 0.5000
B 0.1994 0.5000 0.2522
B 0.1994 0.5000 0.7478
B 0.5000 0.1994 0.2522
B 0.5000 0.1994 0.7478
B 0.5000 0.5000 0.1007
B 0.5000 0.5000 0.4015
B 0.5000 0.5000 0.5985
B 0.5000 0.5000 0.8993
B 0.5000 0.8006 0.2522
B 0.5000 0.8006 0.7478
B 0.8006 0.5000 0.2522
B 0.8006 0.5000 0.7478

The 8 most intense peaks (10 to 90 degrees two-theta), low angle first:
- hkl 1 0 0, 2θ 21.5, I 55.0
- hkl 1 1 0, 2θ 30.6, I 100.0
- hkl 1 1 2, 2θ 37.7, I 43.0
- hkl 2 0 0, 2θ 43.9, I 21.9
- hkl 2 1 0, 2θ 49.4, I 47.9
- hkl 2 1 2, 2θ 54.4, I 23.9
- hkl 2 2 2, 2θ 68.1, I 27.9
- hkl 3 1 0, 2θ 72.4, I 20.0